Theoretical powder XRD pattern
Compound: Sr2CuMoO6
Radiation: λ = 1.5418 Å (Cu Kα)
Structure: a cell relaxed with GGA+U
Intensities are scaled so that the largest is 100.

Principal peaks in the range 5° ≤ 2θ ≤ 70°, by intensity:
2θ/deg, intensity
31.07, 100
32.98, 48
57.71, 39
47.34, 28
41.55, 22
54.04, 22
64.78, 20
69.31, 11
69.18, 7
39.11, 5

Atomic structure:
Lattice parameters (Å, degrees): 5.801 5.801 5.801 124.17 124.17 82.92
Sites, in units of the cell vectors:
Sr  0.250  0.750  0.500
Sr  0.750  0.250  0.500
Cu  0.000  0.000  0.000
Mo  0.500  0.500  0.000
O  0.200  0.304  0.504
O  0.276  0.276  0.000
O  0.304  0.800  0.105
O  0.696  0.200  0.895
O  0.724  0.724  0.000
O  0.800  0.696  0.496